Entry 1:
This entry pairs a crystal structure of Ce2Er5Tm12 with its calculated PXRD pattern. Radiation: copper Kα. Structure: a cell relaxed with GGA-PBE.
Intensities are scaled so that the largest is 100.

Main lines, most intense first (15° ≤ 2θ ≤ 90°):
| (hkl) | d/Å | 2θ/deg | Rel. int. |
| --- | --- | --- | --- |
| 4 0 2 | 2.768 | 32.35 | 100 |
| 1 1 -3 | 2.671 | 33.55 | 44 |
| 1 3 1 | 2.800 | 31.97 | 27 |
| 2 2 -2 | 2.901 | 30.82 | 27 |
| 4 2 0 | 2.918 | 30.64 | 27 |
| 3 3 1 | 2.473 | 36.32 | 25 |
| 0 2 2 | 3.099 | 28.81 | 22 |
| 1 3 -1 | 2.815 | 31.78 | 21 |
| 4 2 -2 | 2.441 | 36.82 | 16 |
| 5 5 -1 | 1.542 | 59.99 | 14 |

Structure:
Cell lengths 15.2238, 9.1022, 8.4689 Å; angles 90.00, 92.41, 90.00 degrees
Space group C2/m (No. 12)
Unique sites:
Ce 0.0000 0.1499 0.0000
Er 0.0000 0.5000 0.5000
Er 0.2137 0.0000 0.0363
Er 0.2305 0.5000 0.5651
Tm 0.0595 0.0000 0.3414
Tm 0.0681 0.5000 0.8696
Tm 0.1324 0.1907 0.6822
Tm 0.1455 0.3210 0.2382

---

Entry 2:
This entry pairs a crystal structure of LaGa6Pt2 with its calculated PXRD pattern. Radiation: copper Kα. Structure: a cell relaxed with GGA-PBE.
Intensities are scaled so that the largest is 100.

Main lines, most intense first (15° ≤ 2θ ≤ 90°):
| (hkl) | d/Å | 2θ/deg | Rel. int. |
| --- | --- | --- | --- |
| 4 4 0 | 2.119 | 42.68 | 100 |
| 3 1 1 | 3.614 | 24.64 | 83 |
| 2 2 2 | 3.460 | 25.75 | 41 |
| 8 4 4 | 1.223 | 78.14 | 32 |
| 3 3 3 | 2.306 | 39.05 | 28 |
| 7 3 1 | 1.560 | 59.22 | 26 |
| 6 2 2 | 1.807 | 50.52 | 20 |
| 8 0 0 | 1.498 | 61.94 | 16 |
| 5 3 3 | 1.828 | 49.90 | 12 |
| 7 5 1 | 1.384 | 67.71 | 11 |

Structure:
Cell lengths 11.9846, 11.9846, 11.9846 Å; angles 90.00, 90.00, 90.00 degrees
Space group Fd-3m (No. 227, origin choice 2)
Unique sites:
La 0.1250 0.1250 0.1250
Ga 0.1134 0.3750 0.8750
Pt 0.0000 0.0000 0.5000

---

Entry 3:
This entry pairs a crystal structure of SmSb2Pd7 with its calculated PXRD pattern. Radiation: copper Kα. Structure: a cell relaxed with GGA-PBE.
Intensities are scaled so that the largest is 100.

Main lines, most intense first (15° ≤ 2θ ≤ 90°):
| (hkl) | d/Å | 2θ/deg | Rel. int. |
| --- | --- | --- | --- |
| 1 1 6 | 2.299 | 39.19 | 100 |
| 2 0 0 | 2.091 | 43.26 | 41 |
| 3 1 6 | 1.244 | 76.61 | 30 |
| 1 0 3 | 3.630 | 24.52 | 23 |
| 2 0 12 | 1.376 | 68.15 | 14 |
| 2 2 0 | 1.479 | 62.84 | 13 |
| 0 0 12 | 1.827 | 49.91 | 9 |
| 1 1 4 | 2.603 | 34.46 | 9 |
| 2 2 12 | 1.149 | 84.24 | 8 |
| 2 1 3 | 1.812 | 50.35 | 7 |

Structure:
Cell lengths 4.1828, 4.1828, 21.9253 Å; angles 90.00, 90.00, 90.00 degrees
Space group I4/mmm (No. 139)
Unique sites:
Sm 0.0000 0.0000 0.0000
Sb 0.0000 0.0000 0.3283
Pd 0.0000 0.0000 0.5000
Pd 0.0000 0.5000 0.0960
Pd 0.0000 0.5000 0.2500